Record 1
Ba2Na16Tl: theoretical powder X-ray diffraction pattern (copper Kα), based on a crystal structure in Alexandria, relaxed with GGA-PBE.

Crystal structure
```
data_Ba2Na16Tl
_chemical_formula_sum 'Ba6 Na48 Tl3'
_symmetry_space_group_name_H-M 'R 3 m'
_symmetry_Int_Tables_number 160
_symmetry_space_group_name_Hall 'R 3 -2"'
_cell_length_a 12.1142
_cell_length_b 12.1142
_cell_length_c 17.4950
_cell_angle_alpha 90.00
_cell_angle_beta 90.00
_cell_angle_gamma 120.00
loop_
_atom_site_label
_atom_site_fract_x
_atom_site_fract_y
_atom_site_fract_z
Ba1 0.0000 0.0000 0.0000
Ba2 0.0000 0.0000 0.3260
Na1 0.0000 0.0000 0.7452
Na2 0.9998 0.2882 0.6556
Na3 0.0094 0.5047 0.1569
Na4 0.1693 0.3387 0.1365
Na5 0.1699 0.3397 0.8442
Tl1 0.0000 0.0000 0.5488
```

Main lines, in order of falling intensity (10° ≤ 2θ ≤ 90°):
hkl 1 1 0, 14.62 deg, rel. 100.0; hkl 2 2 0, 29.49 deg, rel. 68.2; hkl 3 0 0, 25.47 deg, rel. 65.2; hkl 0 3 3, 29.79 deg, rel. 44.9; hkl 0 2 4, 26.53 deg, rel. 42.3; hkl 0 0 6, 30.70 deg, rel. 41.1



Record 2
Ba2Na2Zn15: theoretical powder X-ray diffraction pattern (copper Kα), based on a crystal structure in Alexandria, relaxed with GGA-PBE.

Crystal structure
```
data_Ba2Na2Zn15
_chemical_formula_sum 'Ba6 Na6 Zn45'
_symmetry_space_group_name_H-M 'R -3 m'
_symmetry_Int_Tables_number 166
_symmetry_space_group_name_Hall '-R 3 2"'
_cell_length_a 9.7053
_cell_length_b 9.7053
_cell_length_c 13.4815
_cell_angle_alpha 90.00
_cell_angle_beta 90.00
_cell_angle_gamma 120.00
loop_
_atom_site_label
_atom_site_fract_x
_atom_site_fract_y
_atom_site_fract_z
Ba1 0.0000 0.0000 0.1573
Na1 0.0000 0.0000 0.4012
Zn1 0.0000 0.2983 0.5000
Zn2 0.0000 0.5000 0.0000
Zn3 0.0048 0.5024 0.6575
```

Main lines, in order of falling intensity (10° ≤ 2θ ≤ 90°):
hkl 0 3 3, 37.84 deg, rel. 100.0; hkl 2 2 0, 37.05 deg, rel. 46.0; hkl 2 2 3, 42.33 deg, rel. 35.3; hkl 0 0 6, 40.13 deg, rel. 32.5; hkl 3 0 0, 31.94 deg, rel. 25.3; hkl 2 2 6, 55.77 deg, rel. 23.1



Record 3
BaSrNdNbO6: theoretical powder X-ray diffraction pattern (copper Kα), based on a crystal structure in Alexandria, relaxed with GGA-PBE.

Crystal structure
```
data_BaSrNdNbO6
_chemical_formula_sum 'Ba2 Sr2 Nd2 Nb2 O12'
_symmetry_space_group_name_H-M 'P -1'
_symmetry_Int_Tables_number 2
_cell_length_a 6.047
_cell_length_b 6.099
_cell_length_c 8.579
_cell_angle_alpha 89.64
_cell_angle_beta 89.53
_cell_angle_gamma 89.81
loop_
_symmetry_equiv_pos_as_xyz
'x,y,z'
'-x,-y,-z'
loop_
_atom_site_label
_atom_site_fract_x
_atom_site_fract_y
_atom_site_fract_z
Ba1 0.006 0.027 0.250
Sr1 0.491 0.534 0.249
Nd1 0.000 0.500 0.000
Nd2 0.500 0.000 0.500
Nb1 0.000 0.500 0.500
Nb2 0.500 0.000 0.000
O1 0.088 0.501 0.730
O2 0.200 0.762 0.463
O3 0.233 0.804 0.029
O4 0.264 0.303 0.450
O5 0.311 0.271 0.050
O6 0.434 0.043 0.770
```

Main lines, in order of falling intensity (10° ≤ 2θ ≤ 90°):
hkl -1 1 2, 29.46 deg, rel. 100.0; hkl 1 1 2, 29.27 deg, rel. 95.8; hkl 1 1 -2, 29.55 deg, rel. 94.1; hkl 0 0 4, 42.15 deg, rel. 52.6; hkl 2 0 4, 52.12 deg, rel. 40.7; hkl -3 1 2, 52.51 deg, rel. 32.5



Record 4
BaNb2Ni2: theoretical powder X-ray diffraction pattern (copper Kα), based on a crystal structure in Alexandria, relaxed with GGA-PBE.

Crystal structure
```
data_BaNb2Ni2
_chemical_formula_sum 'Ba2 Nb4 Ni4'
_symmetry_space_group_name_H-M 'I 4/m m m'
_symmetry_Int_Tables_number 139
_symmetry_space_group_name_Hall '-I 4 2'
_cell_length_a 4.040
_cell_length_b 4.040
_cell_length_c 13.764
_cell_angle_alpha 90.00
_cell_angle_beta 90.00
_cell_angle_gamma 90.00
loop_
_atom_site_label
_atom_site_fract_x
_atom_site_fract_y
_atom_site_fract_z
Ba1 0.000 0.000 0.000
Nb1 0.000 0.500 0.250
Ni1 0.000 0.000 0.365
```

Main lines, in order of falling intensity (10° ≤ 2θ ≤ 90°):
hkl 1 1 2, 33.98 deg, rel. 100.0; hkl 1 0 3, 29.46 deg, rel. 88.9; hkl 2 0 0, 44.87 deg, rel. 49.2; hkl 1 1 6, 51.06 deg, rel. 45.6; hkl 2 1 3, 54.59 deg, rel. 30.0; hkl 1 0 5, 39.62 deg, rel. 25.5



Record 5
Ba3Nb16O23: theoretical powder X-ray diffraction pattern (copper Kα), based on a crystal structure in Alexandria, relaxed with GGA-PBE.

Crystal structure
```
data_Ba3Nb16O23
_chemical_formula_sum 'Ba6 Nb32 O46'
_symmetry_space_group_name_H-M 'C m m m'
_symmetry_Int_Tables_number 65
_symmetry_space_group_name_Hall '-C 2 2'
_cell_length_a 12.632
_cell_length_b 21.217
_cell_length_c 4.216
_cell_angle_alpha 90.00
_cell_angle_beta 90.00
_cell_angle_gamma 90.00
loop_
_atom_site_label
_atom_site_fract_x
_atom_site_fract_y
_atom_site_fract_z
Ba1 0.000 0.000 0.000
Ba2 0.000 0.201 0.000
Nb1 0.000 0.399 0.500
Nb2 0.167 0.305 0.500
Nb3 0.169 0.101 0.500
Nb4 0.171 0.399 0.000
Nb5 0.172 0.500 0.500
O1 0.000 0.103 0.500
O2 0.000 0.299 0.500
O3 0.000 0.404 0.000
O4 0.000 0.500 0.500
O5 0.160 0.000 0.500
O6 0.160 0.301 0.000
O7 0.162 0.099 0.000
O8 0.166 0.200 0.500
O9 0.166 0.500 0.000
```

Main lines, in order of falling intensity (10° ≤ 2θ ≤ 90°):
hkl 0 0 2, 42.93 deg, rel. 100.0; hkl 3 5 0, 29.89 deg, rel. 72.6; hkl 1 5 1, 30.72 deg, rel. 67.1; hkl 0 10 2, 62.09 deg, rel. 60.9; hkl 0 10 0, 42.61 deg, rel. 53.4; hkl 3 1 1, 30.30 deg, rel. 48.2



Record 6
Ba4Nb2O9: theoretical powder X-ray diffraction pattern (copper Kα), based on a crystal structure in Alexandria, relaxed with GGA-PBE.

Crystal structure
```
data_Ba4Nb2O9
_chemical_formula_sum 'Ba4 Nb2 O9'
_symmetry_space_group_name_H-M 'P -3 m 1'
_symmetry_Int_Tables_number 164
_symmetry_space_group_name_Hall '-P 3 2"'
_cell_length_a 6.0285
_cell_length_b 6.0285
_cell_length_c 8.4574
_cell_angle_alpha 90.00
_cell_angle_beta 90.00
_cell_angle_gamma 120.00
loop_
_atom_site_label
_atom_site_fract_x
_atom_site_fract_y
_atom_site_fract_z
Ba1 0.0000 0.0000 0.0000
Ba2 0.0000 0.0000 0.5000
Ba3 0.3333 0.6667 0.2516
Nb1 0.3333 0.6667 0.6642
O1 0.0000 0.5000 0.5000
O2 0.1744 0.3489 0.7757
```

Main lines, in order of falling intensity (10° ≤ 2θ ≤ 90°):
hkl 0 1 2, 27.14 deg, rel. 100.0; hkl 1 1 0, 29.64 deg, rel. 95.1; hkl 2 0 2, 40.62 deg, rel. 56.2; hkl 1 2 2, 51.08 deg, rel. 33.1; hkl 3 0 0, 52.59 deg, rel. 19.1; hkl 2 2 0, 61.53 deg, rel. 18.2